Record 1
Theoretical powder X-ray diffraction pattern of PrSi2Rh3 for Cu Kα (weighted mean of Kα1 and Kα2), from a DFT-relaxed cell (GGA-PBE, Alexandria).
Lines closer than 0.1° are merged.

Structure:
```
data_PrSi2Rh3
_chemical_formula_sum 'Pr6 Si12 Rh18'
_symmetry_space_group_name_H-M 'C 1 2/m 1'
_symmetry_Int_Tables_number 12
_cell_length_a 16.092
_cell_length_b 4.013
_cell_length_c 9.828
_cell_angle_alpha 90.00
_cell_angle_beta 107.89
_cell_angle_gamma 90.00
loop_
_symmetry_equiv_pos_as_xyz
'x,y,z'
'-x,-y,-z'
'-x,y,-z'
'x,-y,z'
'x+1/2,y+1/2,z'
'-x+1/2,-y+1/2,-z'
'-x+1/2,y+1/2,-z'
'x+1/2,-y+1/2,z'
loop_
_atom_site_label
_atom_site_fract_x
_atom_site_fract_y
_atom_site_fract_z
Pr1 0.000 0.000 0.000
Pr2 0.160 0.000 0.700
Si1 0.033 0.500 0.772
Si2 0.139 0.500 0.446
Si3 0.196 0.000 0.126
Rh1 0.000 0.500 0.500
Rh2 0.043 0.000 0.333
Rh3 0.123 0.500 0.201
Rh4 0.176 0.500 0.958
Rh5 0.218 0.000 0.394
```

Most intense lines, 10° ≤ 2θ ≤ 90°, by angle:
- 2θ = 31.60°, intensity 42.8, (3 1 1)
- 2θ = 35.50°, intensity 100.0, (1 1 -3)
- 2θ = 35.77°, intensity 27.2, (5 1 -1)
- 2θ = 37.25°, intensity 36.7, (5 1 -2)
- 2θ = 43.78°, intensity 29.4, (2 0 4)
- 2θ = 45.18°, intensity 40.8, (0 2 0)



Record 2
Theoretical powder X-ray diffraction pattern of Pr5Bi4Pb for Cu Kα (weighted mean of Kα1 and Kα2), from a DFT-relaxed cell (GGA-PBE, Alexandria).
Lines closer than 0.1° are merged.

Structure:
```
data_Pr5Bi4Pb
_chemical_formula_sum 'Pr10 Bi8 Pb2'
_symmetry_space_group_name_H-M 'I 4/m'
_symmetry_Int_Tables_number 87
_symmetry_space_group_name_Hall '-I 4'
_cell_length_a 10.361
_cell_length_b 10.361
_cell_length_c 6.555
_cell_angle_alpha 90.00
_cell_angle_beta 90.00
_cell_angle_gamma 90.00
loop_
_atom_site_label
_atom_site_fract_x
_atom_site_fract_y
_atom_site_fract_z
Pr1 0.000 0.000 0.000
Pr2 0.101 0.700 0.500
Bi1 0.099 0.700 0.000
Pb1 0.000 0.000 0.500
```

Most intense lines, 10° ≤ 2θ ≤ 90°, by angle:
- 2θ = 27.22°, intensity 100.0, (3 1 0)
- 2θ = 38.87°, intensity 78.9, (3 1 2)
- 2θ = 48.10°, intensity 28.9, (2 4 2)
- 2θ = 63.48°, intensity 38.1, (6 2 2)
- 2θ = 70.38°, intensity 28.3, (5 5 2)
- 2θ = 89.79°, intensity 19.9, (9 3 0)



Record 3
Theoretical powder X-ray diffraction pattern of PaZnH8Ru2 for Cu Kα (weighted mean of Kα1 and Kα2), from a DFT-relaxed cell (GGA-PBE, Alexandria).
Lines closer than 0.1° are merged.

Structure:
```
data_PaZnH8Ru2
_chemical_formula_sum 'Pa2 Zn2 H16 Ru4'
_symmetry_space_group_name_H-M 'C 1 2/m 1'
_symmetry_Int_Tables_number 12
_cell_length_a 7.917
_cell_length_b 4.309
_cell_length_c 6.205
_cell_angle_alpha 90.00
_cell_angle_beta 114.14
_cell_angle_gamma 90.00
loop_
_symmetry_equiv_pos_as_xyz
'x,y,z'
'-x,-y,-z'
'-x,y,-z'
'x,-y,z'
'x+1/2,y+1/2,z'
'-x+1/2,-y+1/2,-z'
'-x+1/2,y+1/2,-z'
'x+1/2,-y+1/2,z'
loop_
_atom_site_label
_atom_site_fract_x
_atom_site_fract_y
_atom_site_fract_z
Pa1 0.000 0.000 0.000
Zn1 0.000 0.500 0.500
H1 0.053 0.500 0.168
H2 0.184 0.257 0.833
H3 0.221 0.000 0.382
Ru1 0.218 0.000 0.652
```

Most intense lines, 10° ≤ 2θ ≤ 90°, by angle:
- 2θ = 24.05°, intensity 33.5, (1 1 0)
- 2θ = 31.16°, intensity 45.1, (2 0 -2)
- 2θ = 31.54°, intensity 100.0, (1 1 1)
- 2θ = 35.66°, intensity 36.6, (1 1 -2)
- 2θ = 40.07°, intensity 61.1, (3 1 -1)
- 2θ = 41.93°, intensity 27.2, (0 2 0)